Diffraction record for Ho2MgOs. The XRD peak list is theoretical, not measured: it uses a DFT-relaxed cell (GGA-PBE, the Materials Project) and Cu Kα (λ = 1.5418 Å).
Peak positions follow from Bragg's law for the DFT cell and can differ from measured ones.

Most intense lines, 2θ = 10–90°, by angle:
| two_theta | intensity | index |
| --- | --- | --- |
| 21.86 | 20.8 | 1 1 1 |
| 36.08 | 100.0 | 2 2 0 |
| 42.58 | 11.4 | 3 1 1 |
| 51.94 | 17.8 | 4 0 0 |
| 64.87 | 36.5 | 4 2 2 |
| 87.65 | 16.6 | 6 2 0 |

a = 7.041 Å, b = 7.041 Å, c = 7.041 Å
α = 90.00°, β = 90.00°, γ = 90.00°
Fractional positions:
Ho 0.250 0.250 0.250
Ho 0.250 0.250 0.750
Ho 0.250 0.750 0.250
Ho 0.250 0.750 0.750
Ho 0.750 0.250 0.250
Ho 0.750 0.250 0.750
Ho 0.750 0.750 0.250
Ho 0.750 0.750 0.750
Mg 0.000 0.000 0.000
Mg 0.000 0.500 0.500
Mg 0.500 0.000 0.500
Mg 0.500 0.500 0.000
Os 0.000 0.000 0.500
Os 0.000 0.500 0.000
Os 0.500 0.000 0.000
Os 0.500 0.500 0.500